[1]
For ZnIn2Te3S, a GGA-PBE-relaxed structure gives the computed XRD peak list in this record (Cu Kα, 1.54184 Å).

Main lines, by intensity (10° ≤ 2θ ≤ 90°):
hkl 1 -1 1, 25.43°, intensity 100.0; hkl 1 1 0, 24.87°, intensity 68.5; hkl 2 2 2, 41.52°, intensity 52.3; hkl -1 1 1, 25.53°, intensity 48.6; hkl 2 0 3, 42.23°, intensity 46.8; hkl 0 1 2, 26.51°, intensity 29.4; hkl 2 0 -1, 41.65°, intensity 27.7; hkl -1 2 1, 34.07°, intensity 26.5; hkl 3 1 3, 49.70°, intensity 24.4; hkl 2 -2 0, 42.47°, intensity 21.1

Cell and atoms:
Cell lengths 6.076, 6.096, 7.426 Å; angles 66.11, 66.01, 88.78 degrees
Space group P1 (No. 1)
One atom of each set of equivalent atoms:
1 Zn 0.000 0.000 0.000 (multiplicity 1)
2 In 0.527 0.470 0.004 (multiplicity 1)
3 In 0.770 0.236 0.524 (multiplicity 1)
4 Te 0.149 0.055 0.276 (multiplicity 1)
5 Te 0.364 0.852 0.737 (multiplicity 1)
6 Te 0.609 0.639 0.279 (multiplicity 1)
7 S 0.898 0.347 0.768 (multiplicity 1)


[2]
For ZnIn2Te2S2, a GGA-PBE-relaxed structure gives the computed XRD peak list in this record (Cu Kα, 1.54184 Å).

Main lines, by intensity (10° ≤ 2θ ≤ 90°):
hkl 1 1 0, 25.73°, intensity 100.0; hkl -1 1 1, 26.42°, intensity 61.0; hkl 2 0 3, 43.43°, intensity 35.3; hkl 2 -2 0, 43.52°, intensity 33.6; hkl 1 0 1, 16.99°, intensity 24.4; hkl 0 1 2, 27.36°, intensity 22.8; hkl 0 2 -1, 41.87°, intensity 22.1; hkl -1 2 1, 34.90°, intensity 18.6; hkl 0 2 3, 43.66°, intensity 15.3; hkl 3 1 3, 52.20°, intensity 15.3

Cell and atoms:
Cell lengths 5.801, 5.972, 7.197 Å; angles 67.56, 66.32, 89.97 degrees
Space group P1 (No. 1)
One atom of each set of equivalent atoms:
1 Zn 0.000 0.000 0.000 (multiplicity 1)
2 In 0.277 0.775 0.506 (multiplicity 1)
3 In 0.497 0.541 0.010 (multiplicity 1)
4 Te 0.070 0.155 0.281 (multiplicity 1)
5 Te 0.870 0.373 0.726 (multiplicity 1)
6 S 0.373 0.905 0.767 (multiplicity 1)
7 S 0.653 0.663 0.245 (multiplicity 1)


[3]
For ZnIn2Te2S2, a GGA-PBE-relaxed structure gives the computed XRD peak list in this record (Cu Kα, 1.54184 Å).

Main lines, by intensity (10° ≤ 2θ ≤ 90°):
hkl 0 2 1, 25.54°, intensity 100.0; hkl 2 2 -1, 26.40°, intensity 72.2; hkl 2 4 -2, 43.27°, intensity 40.7; hkl 2 4 0, 43.07°, intensity 37.2; hkl 1 3 0, 27.18°, intensity 24.7; hkl 0 0 2, 41.73°, intensity 23.7; hkl 2 0 -1, 21.57°, intensity 18.7; hkl 1 1 -1, 16.71°, intensity 17.4; hkl 0 2 0, 15.05°, intensity 17.0; hkl 2 2 -2, 33.81°, intensity 16.0

Cell and atoms:
Cell lengths 8.240, 11.773, 5.950 Å; angles 90.00, 133.31, 90.00 degrees
Space group C2 (No. 5)
One atom of each set of equivalent atoms:
1 Zn 0.000 0.000 0.000 (multiplicity 2)
2 In 0.000 0.505 0.000 (multiplicity 2)
3 In 0.000 0.774 0.500 (multiplicity 2)
4 Te 0.204 0.145 0.477 (multiplicity 4)
5 S 0.242 0.886 0.002 (multiplicity 4)


[4]
For ScZnInSe3, a GGA-PBE-relaxed structure gives the computed XRD peak list in this record (Cu Kα, 1.54184 Å).

Main lines, by intensity (10° ≤ 2θ ≤ 90°):
hkl 1 1 -2, 30.56°, intensity 100.0; hkl 6 0 0, 31.56°, intensity 52.9; hkl 3 1 1, 30.69°, intensity 31.6; hkl 0 2 0, 46.06°, intensity 29.9; hkl 5 1 2, 43.84°, intensity 28.1; hkl 2 0 -4, 41.37°, intensity 21.4; hkl 6 2 0, 56.91°, intensity 18.9; hkl 5 1 0, 34.81°, intensity 18.2; hkl 2 0 -3, 30.95°, intensity 16.1; hkl 7 1 -2, 45.16°, intensity 15.8

Cell and atoms:
Cell lengths 17.397, 3.941, 8.738 Å; angles 90.00, 102.11, 90.00 degrees
Space group C2/m (No. 12)
One atom of each set of equivalent atoms:
1 Sc 0.174 0.000 0.079 (multiplicity 4)
2 Zn 0.023 0.500 0.216 (multiplicity 4)
3 In 0.140 0.000 0.570 (multiplicity 4)
4 Se 0.000 0.000 0.000 (multiplicity 2)
5 Se 0.000 0.500 0.500 (multiplicity 2)
6 Se 0.169 0.500 0.864 (multiplicity 4)
7 Se 0.170 0.500 0.291 (multiplicity 4)


[5]
For ScZnInSe3, a GGA-PBE-relaxed structure gives the computed XRD peak list in this record (Cu Kα, 1.54184 Å).

Main lines, by intensity (10° ≤ 2θ ≤ 90°):
hkl 2 1 1, 29.24°, intensity 100.0; hkl 1 0 5, 30.91°, intensity 31.4; hkl 2 1 2, 31.02°, intensity 23.5; hkl 0 2 0, 45.46°, intensity 22.4; hkl 3 1 4, 42.68°, intensity 18.7; hkl 1 1 4, 33.87°, intensity 18.1; hkl 1 1 7, 48.82°, intensity 17.0; hkl 6 0 0, 55.06°, intensity 16.9; hkl 5 2 5, 74.05°, intensity 14.7; hkl 3 0 3, 32.20°, intensity 13.9

Cell and atoms:
Cell lengths 10.003, 3.990, 15.111 Å; angles 90.00, 90.00, 90.00 degrees
Space group Pnma (No. 62)
One atom of each set of equivalent atoms:
1 Sc 0.168 0.250 0.053 (multiplicity 4)
2 Zn 0.179 0.750 0.863 (multiplicity 4)
3 In 0.007 0.750 0.324 (multiplicity 4)
4 Se 0.019 0.250 0.895 (multiplicity 4)
5 Se 0.176 0.250 0.492 (multiplicity 4)
6 Se 0.216 0.750 0.707 (multiplicity 4)


[6]
For TbScIn4, a GGA-PBE-relaxed structure gives the computed XRD peak list in this record (Cu Kα, 1.54184 Å).

Main lines, by intensity (10° ≤ 2θ ≤ 90°):
hkl 1 1 3, 33.75°, intensity 100.0; hkl 2 0 0, 39.25°, intensity 16.9; hkl 0 2 0, 39.56°, intensity 16.5; hkl 0 0 6, 38.68°, intensity 15.7; hkl 3 1 3, 67.65°, intensity 12.7; hkl 1 3 3, 68.08°, intensity 12.4; hkl 2 0 6, 56.30°, intensity 11.8; hkl 2 2 6, 70.98°, intensity 11.6; hkl 2 2 0, 56.95°, intensity 11.0; hkl 1 1 9, 66.87°, intensity 10.4

Cell and atoms:
Cell lengths 4.591, 4.556, 13.968 Å; angles 90.00, 90.00, 90.00 degrees
Space group Amm2 (No. 38)
One atom of each set of equivalent atoms:
1 Tb 0.000 0.000 0.000 (multiplicity 2)
2 Sc 0.000 0.000 0.310 (multiplicity 2)
3 In 0.000 0.000 0.661 (multiplicity 2)
4 In 0.500 0.000 0.159 (multiplicity 2)
5 In 0.500 0.000 0.475 (multiplicity 2)
6 In 0.500 0.000 0.827 (multiplicity 2)


[7]
For Sc2Zn3In3, a GGA-PBE-relaxed structure gives the computed XRD peak list in this record (Cu Kα, 1.54184 Å).

Main lines, by intensity (10° ≤ 2θ ≤ 90°):
hkl 2 0 1, 38.34°, intensity 100.0; hkl 2 2 2, 72.61°, intensity 31.5; hkl 2 0 0, 33.08°, intensity 28.1; hkl 0 0 2, 38.21°, intensity 22.4; hkl 2 2 0, 59.09°, intensity 17.1; hkl 2 0 3, 69.15°, intensity 16.2; hkl 2 0 2, 51.41°, intensity 15.5; hkl 1 0 1, 25.05°, intensity 9.2; hkl 0 0 1, 18.84°, intensity 5.8; hkl 4 0 2, 82.10°, intensity 3.7

Cell and atoms:
Cell lengths 6.2537, 6.2537, 4.7110 Å; angles 90.00, 90.00, 120.00 degrees
Space group P-6m2 (No. 187)
One atom of each set of equivalent atoms:
1 Sc 0.0000 0.0000 0.0000 (multiplicity 1)
2 Sc 0.3333 0.6667 0.5000 (multiplicity 1)
3 Zn 0.0179 0.5089 0.0000 (multiplicity 3)
4 In 0.3431 0.1716 0.5000 (multiplicity 3)


[8]
For Sc2ZnIn5, a GGA-PBE-relaxed structure gives the computed XRD peak list in this record (Cu Kα, 1.54184 Å).

Main lines, by intensity (10° ≤ 2θ ≤ 90°):
hkl 1 2 2, 37.16°, intensity 100.0; hkl 1 0 4, 37.39°, intensity 48.3; hkl 2 0 0, 34.72°, intensity 40.1; hkl 0 2 2, 32.71°, intensity 23.3; hkl 3 2 2, 63.84°, intensity 20.6; hkl 2 2 6, 70.04°, intensity 19.1; hkl 0 2 6, 58.70°, intensity 16.5; hkl 1 0 2, 23.73°, intensity 16.4; hkl 2 2 2, 48.44°, intensity 15.0; hkl 1 4 4, 71.26°, intensity 14.2

Cell and atoms:
Cell lengths 5.168, 6.340, 10.869 Å; angles 90.00, 90.00, 90.00 degrees
Space group Amm2 (No. 38)
One atom of each set of equivalent atoms:
1 Sc 0.000 0.000 0.000 (multiplicity 2)
2 Sc 0.500 0.000 0.335 (multiplicity 2)
3 Zn 0.000 0.000 0.499 (multiplicity 2)
4 In 0.000 0.250 0.249 (multiplicity 4)
5 In 0.500 0.000 0.833 (multiplicity 2)
6 In 0.500 0.243 0.581 (multiplicity 4)